1.
This entry pairs a crystal structure of CaFe2P2 with its computed powder X-ray diffraction pattern. Radiation: copper Kα. Structure: a cell relaxed with PBE.
Kinematic intensities with the Lorentz-polarization factor, no thermal factor.

Peak list (10 most intense, 5° ≤ 2θ ≤ 70°, in order of rising 2θ)
17.8 deg, d = 4.970 Å, I 62; 35.8 deg, d = 2.506 Å, I 49; 36.1 deg, d = 2.485 Å, I 14; 37.8 deg, d = 2.378 Å, I 100; 47.5 deg, d = 1.915 Å, I 55; 49.8 deg, d = 1.831 Å, I 34; 51.1 deg, d = 1.787 Å, I 14; 60.9 deg, d = 1.522 Å, I 18; 66.1 deg, d = 1.413 Å, I 29; 69.4 deg, d = 1.354 Å, I 16

```
CaFe2P2
1.0
3.830 0.000 0.000
0.000 3.830 0.000
0.000 0.000 9.939
Ca Fe P
2 4 4
Cartesian
0.000 0.000 0.000
1.915 1.915 4.970
0.000 1.915 2.485
0.000 1.915 7.454
1.915 0.000 2.485
1.915 0.000 7.454
0.000 0.000 3.571
0.000 0.000 6.368
1.915 1.915 1.399
1.915 1.915 8.540
```

=====

2.
This entry pairs a crystal structure of CaFe2Si2 with its computed powder X-ray diffraction pattern. Radiation: copper Kα. Structure: a cell relaxed with PBE.
Kinematic intensities with the Lorentz-polarization factor, no thermal factor.

Peak list (10 most intense, 5° ≤ 2θ ≤ 70°, in order of rising 2θ)
17.9 deg, d = 4.944 Å, I 44; 35.5 deg, d = 2.529 Å, I 36; 36.3 deg, d = 2.472 Å, I 12; 37.0 deg, d = 2.429 Å, I 100; 46.0 deg, d = 1.972 Å, I 51; 49.3 deg, d = 1.850 Å, I 31; 49.8 deg, d = 1.832 Å, I 11; 59.4 deg, d = 1.555 Å, I 15; 65.8 deg, d = 1.419 Å, I 21; 67.1 deg, d = 1.394 Å, I 15

```
CaFe2Si2
1.0
3.944 0.000 0.000
0.000 3.944 0.000
0.000 0.000 9.887
Ca Fe Si
2 4 4
Cartesian
0.000 0.000 0.000
1.972 1.972 4.944
0.000 1.972 2.472
0.000 1.972 7.415
1.972 0.000 2.472
1.972 0.000 7.415
0.000 0.000 3.633
0.000 0.000 6.254
1.972 1.972 1.310
1.972 1.972 8.577
```

=====

3.
This entry pairs a crystal structure of Ca28Ga11 with its computed powder X-ray diffraction pattern. Radiation: copper Kα. Structure: a cell relaxed with PBE.
Kinematic intensities with the Lorentz-polarization factor, no thermal factor.

Peak list (10 most intense, 5° ≤ 2θ ≤ 70°, in order of rising 2θ)
19.9 deg, d = 4.465 Å, I 36; 20.5 deg, d = 4.324 Å, I 19; 29.0 deg, d = 3.075 Å, I 39; 29.6 deg, d = 3.021 Å, I 31; 30.0 deg, d = 2.980 Å, I 19; 32.1 deg, d = 2.785 Å, I 25; 33.5 deg, d = 2.678 Å, I 100; 33.8 deg, d = 2.650 Å, I 52; 38.5 deg, d = 2.341 Å, I 31; 39.6 deg, d = 2.276 Å, I 27

```
Ca28Ga11
1.0
-2.650 30.626 3.737
2.650 -30.626 3.737
2.650 30.626 -3.737
Ca Ga
28 11
Cartesian
0.000 0.000 0.000
2.650 -25.549 3.304
2.650 -18.007 2.847
2.650 7.187 0.585
2.650 19.465 -0.340
2.650 14.566 0.441
0.000 16.904 0.191
2.650 10.785 1.027
2.650 0.000 2.364
2.650 -3.675 2.843
2.650 24.706 -0.232
0.000 22.222 0.147
2.650 3.675 2.843
0.000 5.920 3.505
2.650 28.795 0.713
0.000 1.832 4.450
0.000 11.161 3.397
0.000 39.031 0.147
2.650 18.007 2.847
2.650 21.632 2.552
0.000 44.349 0.191
0.000 16.060 4.178
2.650 25.549 3.304
0.000 27.964 3.201
0.000 23.439 4.322
0.000 19.842 4.764
0.000 33.289 3.201
0.000 8.995 6.289
2.650 16.720 -1.770
2.650 22.090 -1.897
2.650 27.962 -2.254
0.000 2.665 1.483
0.000 8.536 1.840
0.000 13.906 1.967
0.000 19.590 1.725
0.000 25.060 1.606
0.000 30.626 1.668
0.000 36.193 1.606
0.000 41.663 1.725
```

=====

4.
This entry pairs a crystal structure of CaGa4 with its computed powder X-ray diffraction pattern. Radiation: copper Kα. Structure: a cell relaxed with PBE.
Kinematic intensities with the Lorentz-polarization factor, no thermal factor.

Peak list (10 most intense, 5° ≤ 2θ ≤ 70°, in order of rising 2θ)
16.4 deg, d = 5.397 Å, I 23; 21.9 deg, d = 4.064 Å, I 30; 32.2 deg, d = 2.782 Å, I 39; 33.3 deg, d = 2.689 Å, I 100; 41.2 deg, d = 2.193 Å, I 72; 44.5 deg, d = 2.035 Å, I 70; 46.9 deg, d = 1.937 Å, I 26; 53.2 deg, d = 1.722 Å, I 18; 59.6 deg, d = 1.551 Å, I 23; 64.1 deg, d = 1.452 Å, I 19

```
CaGa4
1.0
4.386 0.000 0.000
0.000 4.386 0.000
0.000 0.000 10.795
Ca Ga
2 8
Cartesian
0.000 0.000 0.000
2.193 2.193 5.397
0.000 0.000 4.158
0.000 0.000 6.637
0.000 2.193 2.699
0.000 2.193 8.096
2.193 0.000 2.699
2.193 0.000 8.096
2.193 2.193 1.240
2.193 2.193 9.555
```

=====

5.
This entry pairs a crystal structure of CaGa4 with its computed powder X-ray diffraction pattern. Radiation: copper Kα. Structure: a cell relaxed with PBE.
Kinematic intensities with the Lorentz-polarization factor, no thermal factor.

Peak list (10 most intense, 5° ≤ 2θ ≤ 70°, in order of rising 2θ)
16.4 deg, d = 5.398 Å, I 33; 32.4 deg, d = 2.763 Å, I 41; 33.0 deg, d = 2.715 Å, I 49; 33.4 deg, d = 2.683 Å, I 70; 33.6 deg, d = 2.671 Å, I 25; 41.2 deg, d = 2.191 Å, I 100; 44.6 deg, d = 2.033 Å, I 44; 44.9 deg, d = 2.019 Å, I 33; 46.6 deg, d = 1.947 Å, I 24; 47.2 deg, d = 1.927 Å, I 23

```
CaGa4
1.0
6.214 0.000 0.000
0.000 6.184 0.000
-3.005 0.000 5.398
Ca Ga
2 8
Cartesian
0.000 0.000 0.000
3.107 3.092 0.000
-1.502 1.453 2.699
-1.502 4.730 2.699
-0.082 3.092 1.241
0.184 0.000 4.157
1.605 1.639 2.699
1.605 4.545 2.699
3.025 0.000 1.241
3.291 3.092 4.157
```

=====

6.
This entry pairs a crystal structure of Ca3Ga5 with its computed powder X-ray diffraction pattern. Radiation: copper Kα. Structure: a cell relaxed with PBE.
Kinematic intensities with the Lorentz-polarization factor, no thermal factor.

Peak list (10 most intense, 5° ≤ 2θ ≤ 70°, in order of rising 2θ)
11.8 deg, d = 7.525 Å, I 29; 16.4 deg, d = 5.421 Å, I 25; 24.2 deg, d = 3.682 Å, I 23; 32.2 deg, d = 2.783 Å, I 100; 32.4 deg, d = 2.764 Å, I 45; 36.6 deg, d = 2.453 Å, I 62; 37.7 deg, d = 2.385 Å, I 26; 40.0 deg, d = 2.252 Å, I 61; 40.3 deg, d = 2.237 Å, I 57; 47.7 deg, d = 1.908 Å, I 28

```
Ca3Ga5
1.0
2.237 -5.421 0.000
2.237 5.421 0.000
0.000 0.000 15.049
Ca Ga
6 10
Cartesian
2.237 4.466 9.180
2.237 4.466 13.394
2.237 1.413 11.287
2.237 -1.413 3.762
2.237 -4.466 1.656
2.237 -4.466 5.869
2.237 3.168 1.500
2.237 3.168 6.025
2.237 1.757 3.762
2.237 1.248 8.036
2.237 1.248 14.537
2.237 -1.248 0.512
2.237 -1.248 7.013
2.237 -1.757 11.287
2.237 -3.168 9.024
2.237 -3.168 13.549
```

=====

7.
This entry pairs a crystal structure of CaGaGeH with its computed powder X-ray diffraction pattern. Radiation: copper Kα. Structure: a cell relaxed with PBE.
Kinematic intensities with the Lorentz-polarization factor, no thermal factor.

Peak list (10 most intense, 5° ≤ 2θ ≤ 70°, in order of rising 2θ)
18.5 deg, d = 4.799 Å, I 31; 31.1 deg, d = 2.878 Å, I 100; 37.5 deg, d = 2.399 Å, I 13; 43.6 deg, d = 2.076 Å, I 47; 45.4 deg, d = 1.996 Å, I 23; 47.7 deg, d = 1.906 Å, I 17; 54.5 deg, d = 1.684 Å, I 19; 58.8 deg, d = 1.570 Å, I 19; 63.7 deg, d = 1.462 Å, I 16; 64.8 deg, d = 1.439 Å, I 8

```
CaGaGeH
1.0
4.153 0.000 0.000
-2.076 3.597 0.000
0.000 0.000 4.799
Ca Ga Ge H
1 1 1 1
Cartesian
0.000 0.000 0.000
2.076 1.199 2.712
0.000 2.398 2.036
2.076 1.199 4.459
```

=====

8.
This entry pairs a crystal structure of Ca2Ga2GeO7 with its computed powder X-ray diffraction pattern. Radiation: copper Kα. Structure: a cell relaxed with PBE.
Kinematic intensities with the Lorentz-polarization factor, no thermal factor.

Peak list (10 most intense, 5° ≤ 2θ ≤ 70°, in order of rising 2θ)
16.9 deg, d = 5.258 Å, I 37; 23.1 deg, d = 3.848 Å, I 14; 24.9 deg, d = 3.572 Å, I 21; 28.1 deg, d = 3.180 Å, I 14; 30.2 deg, d = 2.955 Å, I 100; 34.1 deg, d = 2.629 Å, I 11; 35.5 deg, d = 2.526 Å, I 33; 39.6 deg, d = 2.277 Å, I 16; 50.1 deg, d = 1.821 Å, I 42; 58.7 deg, d = 1.573 Å, I 12

```
Ca2Ga2GeO7
1.0
5.258 0.000 0.000
0.000 7.980 0.000
-0.002 0.000 7.995
Ca Ga Ge O
4 4 2 14
Cartesian
0.072 0.000 3.168
0.082 2.573 0.603
5.173 6.563 7.392
5.184 3.990 4.827
2.454 4.145 7.159
2.628 1.315 6.019
2.628 5.305 1.976
2.802 0.155 0.837
2.405 6.448 4.848
2.851 2.458 3.147
1.003 0.196 0.909
1.116 2.438 3.157
1.498 2.609 6.670
1.512 4.574 0.717
1.554 6.035 3.326
1.567 0.003 5.214
1.583 5.346 5.982
3.673 1.356 2.014
3.688 3.993 2.782
3.702 2.045 4.669
3.743 0.584 7.278
3.758 6.599 1.325
4.139 6.428 4.838
4.252 4.186 7.087
```